Calculated X-ray powder pattern
Compound: Na12Cd7Pd
Radiation: Cu Kα X-rays
Structure: a GGA-PBE-relaxed structure
Lines closer than 0.1° are merged.

Atomic structure:
abc: 8.3543 8.3543 8.3543
angles: 102.82 102.82 102.82
Fractional positions:
Na: 0.0006 0.2650 0.7348
Na: 0.1761 0.4217 0.1776
Na: 0.1776 0.1761 0.4217
Na: 0.2650 0.7348 0.0006
Na: 0.2652 0.9994 0.7350
Na: 0.4217 0.1776 0.1761
Na: 0.5783 0.8224 0.8239
Na: 0.7348 0.0006 0.2650
Na: 0.7350 0.2652 0.9994
Na: 0.8224 0.8239 0.5783
Na: 0.8239 0.5783 0.8224
Na: 0.9994 0.7350 0.2652
Cd: 0.0000 0.0000 0.0000
Cd: 0.1902 0.5769 0.5778
Cd: 0.4222 0.8098 0.4231
Cd: 0.4231 0.4222 0.8098
Cd: 0.5769 0.5778 0.1902
Cd: 0.5778 0.1902 0.5769
Cd: 0.8098 0.4231 0.4222
Pd: 0.5000 0.5000 0.5000

Peak list (10 most intense, 10° ≤ 2θ ≤ 90°, by angle)
d (Å)	Rel. int.
7.808	100
5.009	47
4.871	51
3.265	31
2.735	30
2.712	46
2.625	30
2.603	65
2.523	51
2.338	60

***

Calculated X-ray powder pattern
Compound: ThRe4N8
Radiation: Cu Kα X-rays
Structure: a GGA-PBE-relaxed structure
Lines closer than 0.1° are merged.

Atomic structure:
abc: 6.7731 6.7731 6.7731
angles: 51.10 51.10 51.10
Fractional positions:
Th: 0.0000 0.0000 0.0000
Re: 0.0000 0.0000 0.5000
Re: 0.0000 0.5000 0.0000
Re: 0.5000 0.0000 0.0000
Re: 0.5000 0.5000 0.5000
N: 0.2318 0.2318 0.2318
N: 0.2392 0.7349 0.7349
N: 0.2651 0.2651 0.7608
N: 0.2651 0.7608 0.2651
N: 0.7349 0.2392 0.7349
N: 0.7349 0.7349 0.2392
N: 0.7608 0.2651 0.2651
N: 0.7682 0.7682 0.7682

Peak list (10 most intense, 10° ≤ 2θ ≤ 90°, by angle)
d (Å)	Rel. int.
5.874	100
4.863	32
4.388	25
2.937	46
2.504	31
2.432	82
2.194	93
1.661	37
1.461	28
1.308	27

***

Calculated X-ray powder pattern
Compound: EuTh3
Radiation: Cu Kα X-rays
Structure: a GGA-PBE-relaxed structure
Lines closer than 0.1° are merged.

Atomic structure:
abc: 3.5692 5.9642 6.2797
angles: 90.00 90.00 90.00
Fractional positions:
Eu: 0.0000 0.0000 0.0000
Th: 0.0000 0.5000 0.3241
Th: 0.5000 0.0000 0.4936
Th: 0.5000 0.5000 0.8020

Peak list (10 most intense, 10° ≤ 2θ ≤ 90°, by angle)
d (Å)	Rel. int.
3.103	29
2.982	44
2.778	60
2.753	100
2.150	21
1.806	20
1.680	14
1.674	23
1.545	24
1.502	19

***

Calculated X-ray powder pattern
Compound: CsBe4Al4B12O28
Radiation: Cu Kα X-rays
Structure: a GGA-PBE-relaxed structure
Lines closer than 0.1° are merged.

Atomic structure:
abc: 7.4182 7.4182 7.4182
angles: 90.00 90.00 90.00
Fractional positions:
Cs: 0.0000 0.0000 0.0000
Be: 0.2602 0.2602 0.7398
Be: 0.2602 0.7398 0.2602
Be: 0.7398 0.2602 0.2602
Be: 0.7398 0.7398 0.7398
Al: 0.3603 0.3603 0.3603
Al: 0.3603 0.6397 0.6397
Al: 0.6397 0.3603 0.6397
Al: 0.6397 0.6397 0.3603
B: 0.0000 0.2495 0.5000
B: 0.0000 0.5000 0.2495
B: 0.0000 0.5000 0.7505
B: 0.0000 0.7505 0.5000
B: 0.2495 0.0000 0.5000
B: 0.2495 0.5000 0.0000
B: 0.5000 0.0000 0.2495
B: 0.5000 0.0000 0.7505
B: 0.5000 0.2495 0.0000
B: 0.5000 0.7505 0.0000
B: 0.7505 0.0000 0.5000
B: 0.7505 0.5000 0.0000
O: 0.0952 0.3620 0.3620
O: 0.0952 0.6380 0.6380
O: 0.1370 0.1370 0.5964
O: 0.1370 0.4036 0.8630
O: 0.1370 0.5964 0.1370
O: 0.1370 0.8630 0.4036
O: 0.3620 0.0952 0.3620
O: 0.3620 0.3620 0.0952
O: 0.3620 0.6380 0.9048
O: 0.3620 0.9048 0.6380
O: 0.3815 0.3815 0.6185
O: 0.3815 0.6185 0.3815
O: 0.4036 0.1370 0.8630
O: 0.4036 0.8630 0.1370
O: 0.5964 0.1370 0.1370
O: 0.5964 0.8630 0.8630
O: 0.6185 0.3815 0.3815
O: 0.6185 0.6185 0.6185
O: 0.6380 0.0952 0.6380
O: 0.6380 0.3620 0.9048
O: 0.6380 0.6380 0.0952
O: 0.6380 0.9048 0.3620
O: 0.8630 0.1370 0.4036
O: 0.8630 0.4036 0.1370
O: 0.8630 0.5964 0.8630
O: 0.8630 0.8630 0.5964
O: 0.9048 0.3620 0.6380
O: 0.9048 0.6380 0.3620

Peak list (10 most intense, 10° ≤ 2θ ≤ 90°, by angle)
d (Å)	Rel. int.
5.245	26
3.318	53
3.028	100
2.473	43
2.237	33
2.141	25
1.983	30
1.799	34
1.748	22
1.311	29

***

Calculated X-ray powder pattern
Compound: Ac2PmCd12Ag3
Radiation: Cu Kα X-rays
Structure: a GGA-PBE-relaxed structure
Lines closer than 0.1° are merged.

Atomic structure:
abc: 11.4414 11.4414 11.4414
angles: 37.17 37.17 37.17
Fractional positions:
Ac: 0.1420 0.1420 0.1420
Ac: 0.8580 0.8580 0.8580
Pm: 0.5000 0.5000 0.5000
Cd: 0.0458 0.6256 0.6256
Cd: 0.1823 0.1823 0.7777
Cd: 0.1823 0.7777 0.1823
Cd: 0.2223 0.8177 0.8177
Cd: 0.3744 0.3744 0.9542
Cd: 0.3744 0.9542 0.3744
Cd: 0.6256 0.0458 0.6256
Cd: 0.6256 0.6256 0.0458
Cd: 0.7777 0.1823 0.1823
Cd: 0.8177 0.2223 0.8177
Cd: 0.8177 0.8177 0.2223
Cd: 0.9542 0.3744 0.3744
Ag: 0.0000 0.5000 0.5000
Ag: 0.5000 0.0000 0.5000
Ag: 0.5000 0.5000 0.0000

Peak list (10 most intense, 10° ≤ 2θ ≤ 90°, by angle)
d (Å)	Rel. int.
3.450	100
3.143	60
2.849	50
2.831	70
2.637	78
2.596	48
2.287	37
2.245	36
1.958	35
1.823	54

***

Calculated X-ray powder pattern
Compound: Nd3Al2In3
Radiation: Cu Kα X-rays
Structure: a GGA-PBE-relaxed structure
Lines closer than 0.1° are merged.

Atomic structure:
abc: 6.2333 6.2333 15.8372
angles: 90.00 90.00 136.41
Fractional positions:
Nd: 0.0732 0.9268 0.6113
Nd: 0.0732 0.9268 0.8887
Nd: 0.3526 0.6474 0.7500
Nd: 0.6474 0.3526 0.2500
Nd: 0.9268 0.0732 0.1113
Nd: 0.9268 0.0732 0.3887
Al: 0.2172 0.7828 0.1098
Al: 0.2172 0.7828 0.3902
Al: 0.7828 0.2172 0.6098
Al: 0.7828 0.2172 0.8902
In: 0.3667 0.6333 0.2500
In: 0.3738 0.6262 0.5379
In: 0.3738 0.6262 0.9621
In: 0.6262 0.3738 0.0379
In: 0.6262 0.3738 0.4621
In: 0.6333 0.3667 0.7500

Peak list (10 most intense, 10° ≤ 2θ ≤ 90°, by angle)
d (Å)	Rel. int.
2.964	29
2.912	100
2.894	20
2.778	15
2.584	38
2.373	17
2.314	29
1.734	11
1.558	22
1.427	13

***

Calculated X-ray powder pattern
Compound: KNpIn2F8
Radiation: Cu Kα X-rays
Structure: a GGA-PBE-relaxed structure
Lines closer than 0.1° are merged.

Atomic structure:
abc: 4.0652 6.2913 8.3627
angles: 90.00 90.00 90.00
Fractional positions:
K: 0.0000 0.0000 0.0000
Np: 0.0000 0.0000 0.5000
In: 0.5000 0.5000 0.2263
In: 0.5000 0.5000 0.7737
F: 0.0000 0.2191 0.2941
F: 0.0000 0.2191 0.7059
F: 0.0000 0.7809 0.2941
F: 0.0000 0.7809 0.7059
F: 0.5000 0.1918 0.5000
F: 0.5000 0.2844 0.0000
F: 0.5000 0.7156 0.0000
F: 0.5000 0.8082 0.5000

Peak list (10 most intense, 10° ≤ 2θ ≤ 90°, by angle)
d (Å)	Rel. int.
8.363	42
5.027	59
3.656	27
3.482	94
3.414	100
2.915	30
2.138	79
2.089	28
1.783	26
1.755	27

***

Calculated X-ray powder pattern
Compound: LiInPd3
Radiation: Cu Kα X-rays
Structure: a GGA-PBE-relaxed structure
Lines closer than 0.1° are merged.

Atomic structure:
abc: 6.1835 6.1835 4.8074
angles: 90.00 90.00 120.00
Fractional positions:
Li: 0.0000 0.0000 0.0000
Li: 0.0000 0.0000 0.5000
In: 0.3333 0.6667 0.2500
In: 0.6667 0.3333 0.7500
Pd: 0.1865 0.3730 0.7500
Pd: 0.1865 0.8135 0.7500
Pd: 0.3730 0.1865 0.2500
Pd: 0.6270 0.8135 0.7500
Pd: 0.8135 0.1865 0.2500
Pd: 0.8135 0.6270 0.2500

Peak list (10 most intense, 10° ≤ 2θ ≤ 90°, by angle)
d (Å)	Rel. int.
5.355	6
2.678	24
2.404	26
2.339	100
1.789	16
1.673	6
1.546	15
1.375	18
1.300	16
1.290	11

***

Calculated X-ray powder pattern
Compound: Nd3Hg2Bi
Radiation: Cu Kα X-rays
Structure: a GGA-PBE-relaxed structure
Lines closer than 0.1° are merged.

Atomic structure:
abc: 5.3226 16.2114 4.0748
angles: 90.00 90.00 90.00
Fractional positions:
Nd: 0.2500 0.0837 0.9998
Nd: 0.2500 0.4163 0.9998
Nd: 0.2500 0.7500 0.0008
Nd: 0.7500 0.2500 0.9992
Nd: 0.7500 0.5837 0.0002
Nd: 0.7500 0.9163 0.0002
Hg: 0.2500 0.5721 0.5004
Hg: 0.2500 0.9279 0.5004
Hg: 0.7500 0.0721 0.4996
Hg: 0.7500 0.4279 0.4996
Bi: 0.2500 0.2500 0.4994
Bi: 0.7500 0.7500 0.5006

Peak list (10 most intense, 10° ≤ 2θ ≤ 90°, by angle)
d (Å)	Rel. int.
2.776	100
2.702	22
2.661	23
2.037	11
1.896	16
1.627	10
1.618	10
1.574	16
1.558	18
1.388	12

***

Calculated X-ray powder pattern
Compound: Dy6Tm2Th
Radiation: Cu Kα X-rays
Structure: a GGA-PBE-relaxed structure
Lines closer than 0.1° are merged.

Atomic structure:
abc: 3.5500 3.5500 26.1581
angles: 90.00 90.00 120.00
Fractional positions:
Dy: 0.0000 0.0000 0.0657
Dy: 0.0000 0.0000 0.2789
Dy: 0.0000 0.0000 0.7211
Dy: 0.0000 0.0000 0.9343
Dy: 0.3333 0.6667 0.3887
Dy: 0.3333 0.6667 0.6113
Tm: 0.3333 0.6667 0.1710
Tm: 0.3333 0.6667 0.8290
Th: 0.0000 0.0000 0.5000

Peak list (10 most intense, 10° ≤ 2θ ≤ 90°, by angle)
d (Å)	Rel. int.
3.074	47
2.906	52
2.782	68
2.651	100
2.112	30
1.775	37
1.597	30
1.515	42
1.475	17
1.134	15

***

> Number 2 is which compound?

ThRe4N8